Starting from a GGA+U-relaxed structure, the XRD peak list of LiCoP2O7 was simulated for Cu Kα (λ = 1.5418 Å).
Peak positions follow from Bragg's law for the DFT cell and can differ from measured ones.

Top 10 peaks for 2θ from 15° to 90°, low angle first:
- 17.70°, I 100.0
- 17.86°, I 27.7
- 19.63°, I 15.4
- 22.87°, I 21.1
- 28.44°, I 45.1
- 29.69°, I 71.8
- 30.09°, I 47.6
- 35.14°, I 16.6
- 42.04°, I 16.9
- 43.83°, I 18.1

Crystal structure
abc: 6.304 6.304 13.385
angles: 105.37 105.37 80.24
Fractional positions:
1 Li 0.018 0.235 0.151
2 Li 0.235 0.018 0.651
3 Li 0.765 0.982 0.349
4 Li 0.982 0.765 0.849
5 Co 0.133 0.595 0.358
6 Co 0.405 0.867 0.142
7 Co 0.595 0.133 0.858
8 Co 0.867 0.405 0.642
9 P 0.090 0.247 0.863
10 P 0.247 0.090 0.363
11 P 0.329 0.416 0.571
12 P 0.416 0.329 0.071
13 P 0.584 0.671 0.929
14 P 0.671 0.584 0.429
15 P 0.753 0.910 0.637
16 P 0.910 0.753 0.137
17 O 0.019 0.570 0.196
18 O 0.071 0.891 0.121
19 O 0.094 0.272 0.314
20 O 0.109 0.929 0.379
21 O 0.183 0.340 0.628
22 O 0.205 0.383 0.979
23 O 0.218 0.611 0.521
24 O 0.272 0.094 0.814
25 O 0.340 0.183 0.128
26 O 0.383 0.205 0.479
27 O 0.389 0.782 0.979
28 O 0.430 0.981 0.304
29 O 0.441 0.543 0.357
30 O 0.457 0.559 0.143
31 O 0.543 0.441 0.857
32 O 0.559 0.457 0.643
33 O 0.570 0.019 0.696
34 O 0.611 0.218 0.021
35 O 0.617 0.795 0.521
36 O 0.660 0.817 0.872
37 O 0.728 0.906 0.186
38 O 0.782 0.389 0.479
39 O 0.795 0.617 0.021
40 O 0.817 0.660 0.372
41 O 0.891 0.071 0.621
42 O 0.906 0.728 0.686
43 O 0.929 0.109 0.879
44 O 0.981 0.430 0.804

Starting from a GGA+U-relaxed structure, the XRD peak list of LiCoP3O9 was simulated for Cu Kα (λ = 1.5418 Å).
Peak positions follow from Bragg's law for the DFT cell and can differ from measured ones.

Top 10 peaks for 2θ from 15° to 90°, low angle first:
- 18.68°, I 99.0
- 24.87°, I 55.9
- 28.53°, I 71.5
- 29.01°, I 50.0
- 29.53°, I 64.6
- 30.10°, I 45.0
- 30.62°, I 48.0
- 30.81°, I 43.4
- 31.92°, I 100.0
- 32.20°, I 99.8

Crystal structure
abc: 6.542 6.884 7.356
angles: 102.96 92.43 91.13
Fractional positions:
1 Li 0.147 0.090 0.329
2 Li 0.853 0.910 0.671
3 Co 0.148 0.593 0.359
4 Co 0.852 0.407 0.641
5 P 0.139 0.724 0.950
6 P 0.342 0.390 0.715
7 P 0.345 0.949 0.706
8 P 0.655 0.051 0.294
9 P 0.658 0.610 0.285
10 P 0.861 0.276 0.050
11 O 0.050 0.313 0.180
12 O 0.115 0.779 0.158
13 O 0.169 0.396 0.569
14 O 0.172 0.874 0.560
15 O 0.281 0.533 0.910
16 O 0.281 0.896 0.902
17 O 0.325 0.185 0.779
18 O 0.442 0.106 0.334
19 O 0.446 0.558 0.324
20 O 0.554 0.442 0.676
21 O 0.558 0.894 0.666
22 O 0.675 0.815 0.221
23 O 0.719 0.104 0.098
24 O 0.719 0.467 0.090
25 O 0.828 0.126 0.440
26 O 0.831 0.604 0.431
27 O 0.885 0.221 0.842
28 O 0.950 0.687 0.820

Starting from a GGA+U-relaxed structure, the XRD peak list of LiCo2P2O8 was simulated for Cu Kα (λ = 1.5418 Å).
Peak positions follow from Bragg's law for the DFT cell and can differ from measured ones.

Top 10 peaks for 2θ from 15° to 90°, low angle first:
- 21.50°, I 96.8
- 21.70°, I 100.0
- 26.06°, I 12.9
- 31.44°, I 9.9
- 34.47°, I 23.4
- 35.00°, I 25.4
- 36.08°, I 18.1
- 41.10°, I 11.0
- 41.41°, I 16.3
- 53.90°, I 7.9

Crystal structure
abc: 10.409 5.127 13.609
angles: 90.00 90.00 90.00
Fractional positions:
1 Li 0.028 0.056 0.000
2 Li 0.472 0.056 0.500
3 Li 0.528 0.944 0.000
4 Li 0.972 0.944 0.500
5 Co 0.026 0.947 0.752
6 Co 0.217 0.563 0.002
7 Co 0.283 0.563 0.502
8 Co 0.474 0.947 0.252
9 Co 0.526 0.053 0.752
10 Co 0.717 0.437 0.002
11 Co 0.783 0.437 0.502
12 Co 0.974 0.053 0.252
13 P 0.027 0.446 0.624
14 P 0.223 0.060 0.376
15 P 0.277 0.060 0.876
16 P 0.473 0.446 0.124
17 P 0.527 0.554 0.624
18 P 0.723 0.940 0.376
19 P 0.777 0.940 0.876
20 P 0.973 0.554 0.124
21 O 0.000 0.149 0.627
22 O 0.000 0.851 0.127
23 O 0.010 0.418 0.219
24 O 0.049 0.441 0.032
25 O 0.079 0.985 0.375
26 O 0.172 0.499 0.603
27 O 0.208 0.919 0.966
28 O 0.210 0.996 0.780
29 O 0.234 0.359 0.397
30 O 0.266 0.359 0.897
31 O 0.290 0.996 0.280
32 O 0.292 0.919 0.466
33 O 0.328 0.499 0.103
34 O 0.421 0.985 0.875
35 O 0.451 0.441 0.532
36 O 0.490 0.418 0.719
37 O 0.500 0.149 0.127
38 O 0.500 0.851 0.627
39 O 0.510 0.582 0.219
40 O 0.549 0.559 0.032
41 O 0.579 0.015 0.375
42 O 0.672 0.501 0.603
43 O 0.708 0.081 0.966
44 O 0.710 0.004 0.780
45 O 0.734 0.641 0.397
46 O 0.766 0.641 0.897
47 O 0.790 0.004 0.280
48 O 0.792 0.081 0.466
49 O 0.828 0.501 0.103
50 O 0.921 0.015 0.875
51 O 0.951 0.559 0.532
52 O 0.990 0.582 0.719

Starting from a GGA+U-relaxed structure, the XRD peak list of Li2CoP2O7 was simulated for Cu Kα (λ = 1.5418 Å).
Peak positions follow from Bragg's law for the DFT cell and can differ from measured ones.

Top 10 peaks for 2θ from 15° to 90°, low angle first:
- 20.71°, I 56.3
- 23.63°, I 100.0
- 26.51°, I 35.6
- 26.90°, I 13.5
- 27.16°, I 13.7
- 28.51°, I 52.6
- 28.70°, I 24.3
- 29.79°, I 12.6
- 34.15°, I 17.0
- 35.50°, I 45.2

Crystal structure
abc: 5.063 7.047 8.856
angles: 101.97 106.38 109.52
Fractional positions:
1 Li 0.061 0.385 0.244
2 Li 0.408 0.176 0.012
3 Li 0.592 0.824 0.988
4 Li 0.939 0.615 0.756
5 Co 0.312 0.327 0.664
6 Co 0.688 0.673 0.336
7 P 0.169 0.798 0.146
8 P 0.345 0.759 0.607
9 P 0.655 0.241 0.393
10 P 0.831 0.202 0.854
11 O 0.034 0.767 0.562
12 O 0.139 0.244 0.839
13 O 0.194 0.867 0.995
14 O 0.270 0.618 0.154
15 O 0.389 0.653 0.745
16 O 0.396 0.652 0.459
17 O 0.409 0.998 0.315
18 O 0.591 0.002 0.685
19 O 0.604 0.348 0.541
20 O 0.611 0.347 0.255
21 O 0.730 0.382 0.846
22 O 0.806 0.133 0.005
23 O 0.861 0.756 0.161
24 O 0.966 0.233 0.438

Starting from a GGA+U-relaxed structure, the XRD peak list of LiCoP3O9 was simulated for Cu Kα (λ = 1.5418 Å).
Peak positions follow from Bragg's law for the DFT cell and can differ from measured ones.

Top 10 peaks for 2θ from 15° to 90°, low angle first:
- 16.09°, I 100.0
- 18.64°, I 32.7
- 21.80°, I 57.3
- 23.01°, I 26.9
- 23.59°, I 64.9
- 26.35°, I 33.2
- 32.10°, I 47.5
- 32.52°, I 24.5
- 35.44°, I 25.4
- 47.03°, I 30.5

Crystal structure
abc: 5.177 12.112 13.239
angles: 90.00 90.00 90.00
Fractional positions:
1 Li 0.004 0.008 0.250
2 Li 0.004 0.492 0.750
3 Li 0.996 0.508 0.250
4 Li 0.996 0.992 0.750
5 Co 0.000 0.000 0.000
6 Co 0.000 0.000 0.500
7 Co 0.000 0.500 0.000
8 Co 0.000 0.500 0.500
9 P 0.242 0.250 0.000
10 P 0.242 0.250 0.500
11 P 0.491 0.091 0.139
12 P 0.491 0.091 0.361
13 P 0.491 0.409 0.639
14 P 0.491 0.409 0.861
15 P 0.509 0.591 0.139
16 P 0.509 0.591 0.361
17 P 0.509 0.909 0.639
18 P 0.509 0.909 0.861
19 P 0.758 0.750 0.000
20 P 0.758 0.750 0.500
21 O 0.097 0.156 0.547
22 O 0.097 0.156 0.953
23 O 0.097 0.344 0.047
24 O 0.097 0.344 0.453
25 O 0.232 0.554 0.132
26 O 0.232 0.554 0.368
27 O 0.232 0.946 0.632
28 O 0.232 0.946 0.868
29 O 0.280 0.008 0.118
30 O 0.280 0.008 0.382
31 O 0.280 0.492 0.618
32 O 0.280 0.492 0.882
33 O 0.439 0.140 0.250
34 O 0.439 0.360 0.750
35 O 0.453 0.203 0.079
36 O 0.453 0.203 0.421
37 O 0.453 0.297 0.579
38 O 0.453 0.297 0.921
39 O 0.547 0.703 0.079
40 O 0.547 0.703 0.421
41 O 0.547 0.797 0.579
42 O 0.547 0.797 0.921
43 O 0.561 0.640 0.250
44 O 0.561 0.860 0.750
45 O 0.720 0.508 0.118
46 O 0.720 0.508 0.382
47 O 0.720 0.992 0.618
48 O 0.720 0.992 0.882
49 O 0.768 0.054 0.132
50 O 0.768 0.054 0.368
51 O 0.768 0.446 0.632
52 O 0.768 0.446 0.868
53 O 0.903 0.656 0.547
54 O 0.903 0.656 0.953
55 O 0.903 0.844 0.047
56 O 0.903 0.844 0.453

Starting from a GGA+U-relaxed structure, the XRD peak list of LiCoP4O12 was simulated for Cu Kα (λ = 1.5418 Å).
Peak positions follow from Bragg's law for the DFT cell and can differ from measured ones.

Top 10 peaks for 2θ from 15° to 90°, low angle first:
- 17.25°, I 27.5
- 18.11°, I 30.3
- 23.55°, I 100.0
- 23.93°, I 47.9
- 24.85°, I 23.8
- 25.73°, I 36.7
- 30.55°, I 34.5
- 31.85°, I 44.2
- 33.12°, I 28.0
- 38.27°, I 26.3

Crystal structure
abc: 5.220 13.419 7.278
angles: 90.00 100.04 90.00
Fractional positions:
1 Li 0.149 0.000 0.124
2 Li 0.851 0.500 0.876
3 Co 0.026 0.677 0.587
4 Co 0.974 0.177 0.413
5 P 0.299 0.788 0.956
6 P 0.346 0.144 0.814
7 P 0.469 0.322 0.382
8 P 0.491 0.541 0.505
9 P 0.509 0.041 0.495
10 P 0.531 0.822 0.618
11 P 0.654 0.644 0.186
12 P 0.701 0.288 0.044
13 O 0.106 0.172 0.674
14 O 0.144 0.868 0.025
15 O 0.162 0.699 0.849
16 O 0.189 0.306 0.396
17 O 0.236 0.548 0.575
18 O 0.267 0.081 0.370
19 O 0.310 0.086 0.980
20 O 0.334 0.748 0.526
21 O 0.439 0.927 0.525
22 O 0.456 0.585 0.298
23 O 0.498 0.746 0.133
24 O 0.499 0.836 0.833
25 O 0.501 0.336 0.167
26 O 0.502 0.246 0.867
27 O 0.544 0.085 0.702
28 O 0.561 0.427 0.475
29 O 0.666 0.248 0.474
30 O 0.690 0.586 0.020
31 O 0.733 0.581 0.630
32 O 0.764 0.048 0.425
33 O 0.811 0.806 0.604
34 O 0.838 0.199 0.151
35 O 0.856 0.368 0.975
36 O 0.894 0.672 0.326